Record 1
Structure and calculated powder XRD pattern of Li2ZnAsO4 (a GGA-PBE-relaxed structure; Cu Kα).
Kinematic intensities with the Lorentz-polarization factor, no thermal factor.

Atomic structure:
Cell lengths 6.300, 6.739, 8.873 Å; angles 90.00, 90.00, 90.00 degrees
Space group Fmm2 (No. 42)
One atom of each set of equivalent atoms:
1 Li 0.250 0.250 0.000 [8 per cell]
2 Zn 0.000 0.000 0.248 [4 per cell]
3 As 0.000 0.000 0.743 [4 per cell]
4 O 0.000 0.244 0.638 [8 per cell]
5 O 0.225 0.000 0.872 [8 per cell]

Principal peaks in the range 5° ≤ 2θ ≤ 70°, low angle first:
- hkl 0 0 2, 2θ = 20.01°, d = 4.437 Å, intensity 100.0
- hkl 0 2 0, 2θ = 26.45°, d = 3.369 Å, intensity 46.0
- hkl 2 0 0, 2θ = 28.33°, d = 3.150 Å, intensity 39.5
- hkl 0 2 2, 2θ = 33.39°, d = 2.683 Å, intensity 71.1
- hkl 2 0 2, 2θ = 34.93°, d = 2.569 Å, intensity 73.4
- hkl 2 2 2, 2θ = 44.35°, d = 2.043 Å, intensity 40.8
- hkl 2 2 4, 2θ = 57.73°, d = 1.597 Å, intensity 45.8
- hkl 4 0 0, 2θ = 58.61°, d = 1.575 Å, intensity 20.9


Record 2
Structure and calculated powder XRD pattern of LiZr2As3O12 (a GGA-PBE-relaxed structure; Cu Kα).
Kinematic intensities with the Lorentz-polarization factor, no thermal factor.

Atomic structure:
Cell lengths 9.3277, 9.3277, 22.5531 Å; angles 90.00, 90.00, 120.00 degrees
Space group R-3c (No. 167, hexagonal axes)
One atom of each set of equivalent atoms:
1 Li 0.0000 0.0000 0.0000 [6 per cell]
2 Zr 0.0000 0.0000 0.1407 [12 per cell]
3 As 0.0000 0.2946 0.2500 [18 per cell]
4 O 0.0027 0.1893 0.3115 [36 per cell]
5 O 0.0186 0.1799 0.9228 [36 per cell]

Principal peaks in the range 5° ≤ 2θ ≤ 70°, low angle first:
- hkl 0 1 2, 2θ = 13.48°, d = 6.567 Å, intensity 15.5
- hkl 1 0 4, 2θ = 19.20°, d = 4.623 Å, intensity 31.0
- hkl 1 1 3, 2θ = 22.43°, d = 3.963 Å, intensity 100.0
- hkl 0 2 4, 2θ = 27.16°, d = 3.283 Å, intensity 28.8
- hkl 1 1 6, 2θ = 30.55°, d = 2.927 Å, intensity 33.7
- hkl 3 0 0, 2θ = 33.27°, d = 2.693 Å, intensity 32.8
- hkl 2 1 4, 2θ = 33.37°, d = 2.685 Å, intensity 19.5
- hkl 3 2 4, 2θ = 51.91°, d = 1.761 Å, intensity 15.9


Record 3
Structure and calculated powder XRD pattern of Li2AsOs (a GGA-PBE-relaxed structure; Cu Kα).
Kinematic intensities with the Lorentz-polarization factor, no thermal factor.

Atomic structure:
Cell lengths 9.671, 3.128, 4.012 Å; angles 90.00, 114.25, 90.00 degrees
Space group C2/m (No. 12)
One atom of each set of equivalent atoms:
1 Li 0.246 0.000 0.246 [4 per cell]
2 As 0.000 0.500 0.000 [2 per cell]
3 Os 0.000 0.000 0.500 [2 per cell]

Principal peaks in the range 5° ≤ 2θ ≤ 70°, low angle first:
- hkl 2 0 0, 2θ = 20.14°, d = 4.409 Å, intensity 100.0
- hkl 0 0 1, 2θ = 24.38°, d = 3.652 Å, intensity 22.6
- hkl 1 1 0, 2θ = 30.32°, d = 2.948 Å, intensity 13.4
- hkl 1 1 -1, 2θ = 36.42°, d = 2.467 Å, intensity 45.1
- hkl 4 0 0, 2θ = 40.94°, d = 2.204 Å, intensity 19.1
- hkl 1 1 1, 2θ = 41.91°, d = 2.155 Å, intensity 35.7
- hkl 3 1 -1, 2θ = 42.02°, d = 2.150 Å, intensity 35.5
- hkl 2 0 -2, 2θ = 45.20°, d = 2.006 Å, intensity 14.4


Record 4
Structure and calculated powder XRD pattern of LiSnAs2Os (a GGA-PBE-relaxed structure; Cu Kα).
Kinematic intensities with the Lorentz-polarization factor, no thermal factor.

Atomic structure:
Cell lengths 5.300, 5.300, 5.009 Å; angles 90.00, 90.00, 90.00 degrees
Space group P4/mmm (No. 123)
One atom of each set of equivalent atoms:
1 Li 0.000 0.000 0.000 [1 per cell]
2 Sn 0.500 0.500 0.500 [1 per cell]
3 As 0.000 0.500 0.500 [2 per cell]
4 Os 0.500 0.500 0.000 [1 per cell]

Principal peaks in the range 5° ≤ 2θ ≤ 70°, low angle first:
- hkl 1 0 0, 2θ = 16.73°, d = 5.300 Å, intensity 100.0
- hkl 1 1 1, 2θ = 29.77°, d = 3.001 Å, intensity 28.2
- hkl 2 0 0, 2θ = 33.82°, d = 2.650 Å, intensity 43.5
- hkl 0 0 2, 2θ = 35.85°, d = 2.505 Å, intensity 18.6
- hkl 2 1 0, 2θ = 37.96°, d = 2.370 Å, intensity 26.7
- hkl 1 0 2, 2θ = 39.81°, d = 2.264 Å, intensity 23.5
- hkl 2 0 2, 2θ = 50.11°, d = 1.820 Å, intensity 28.9
- hkl 2 1 2, 2θ = 53.21°, d = 1.722 Å, intensity 20.6